Entry 1:
Computed X-ray powder pattern
Compound: BaBe3H8
Radiation: Cu Kα (λ = 1.5418 Å)
Structure: a crystal structure in Alexandria, relaxed with PBE

The 6 most intense peaks (10° ≤ 2θ ≤ 80°), in order of rising 2θ:
d = 6.362 Å, 13.92°, I 97; d = 3.817 Å, 23.30°, I 100; d = 3.607 Å, 24.68°, I 87; d = 3.018 Å, 29.60°, I 86; d = 2.726 Å, 32.85°, I 47; d = 2.121 Å, 42.64°, I 52

```
data_BaBe3H8
_chemical_formula_sum 'Ba3 Be9 H24'
_symmetry_space_group_name_H-M 'R -3'
_symmetry_Int_Tables_number 148
_symmetry_space_group_name_Hall '-R 3'
_cell_length_a 4.4985
_cell_length_b 4.4985
_cell_length_c 19.0855
_cell_angle_alpha 90.00
_cell_angle_beta 90.00
_cell_angle_gamma 120.00
loop_
_atom_site_label
_atom_site_fract_x
_atom_site_fract_y
_atom_site_fract_z
Ba1 0.0000 0.0000 0.0000
Be1 0.0000 0.0000 0.2346
Be2 0.0000 0.0000 0.5000
H1 0.0000 0.0000 0.3102
H2 0.0121 0.4213 0.1157
```

Entry 2:
Computed X-ray powder pattern
Compound: BaBe2PH2
Radiation: Cu Kα (λ = 1.5418 Å)
Structure: a crystal structure in Alexandria, relaxed with PBE

The 6 most intense peaks (10° ≤ 2θ ≤ 80°), in order of rising 2θ:
d = 3.613 Å, 24.64°, I 94; d = 3.558 Å, 25.03°, I 100; d = 3.419 Å, 26.06°, I 57; d = 3.284 Å, 27.15°, I 53; d = 2.465 Å, 36.44°, I 76; d = 1.963 Å, 46.26°, I 32

```
data_BaBe2PH2
_chemical_formula_sum 'Ba2 Be4 P2 H4'
_symmetry_space_group_name_H-M 'P 1 21/m 1'
_symmetry_Int_Tables_number 11
_cell_length_a 6.5703
_cell_length_b 4.5990
_cell_length_c 6.5801
_cell_angle_alpha 90.00
_cell_angle_beta 117.34
_cell_angle_gamma 90.00
loop_
_symmetry_equiv_pos_as_xyz
'x,y,z'
'-x,-y,-z'
'-x,y+1/2,-z'
'x,-y+1/2,z'
loop_
_atom_site_label
_atom_site_fract_x
_atom_site_fract_y
_atom_site_fract_z
Ba1 0.1739 0.2500 0.3265
Be1 0.3378 0.0000 0.8375
P1 0.3678 0.7500 0.1308
H1 0.1522 0.2500 0.7436
H2 0.2446 0.7500 0.6521
```

Entry 3:
Computed X-ray powder pattern
Compound: RbBaBeH6
Radiation: Cu Kα (λ = 1.5418 Å)
Structure: a crystal structure in Alexandria, relaxed with PBE

The 6 most intense peaks (10° ≤ 2θ ≤ 80°), in order of rising 2θ:
d = 4.637 Å, 19.14°, I 39; d = 3.279 Å, 27.20°, I 100; d = 2.677 Å, 33.47°, I 40; d = 2.074 Å, 43.65°, I 42; d = 1.753 Å, 52.19°, I 24; d = 1.639 Å, 56.10°, I 30

```
data_RbBaBeH6
_chemical_formula_sum 'Rb2 Ba2 Be2 H12'
_symmetry_space_group_name_H-M 'C 1 m 1'
_symmetry_Int_Tables_number 8
_cell_length_a 9.2762
_cell_length_b 5.3522
_cell_length_c 4.6374
_cell_angle_alpha 90.00
_cell_angle_beta 90.10
_cell_angle_gamma 90.00
loop_
_symmetry_equiv_pos_as_xyz
'x,y,z'
'x,-y,z'
'x+1/2,y+1/2,z'
'x+1/2,-y+1/2,z'
loop_
_atom_site_label
_atom_site_fract_x
_atom_site_fract_y
_atom_site_fract_z
Rb1 0.0000 0.0000 0.0000
Ba1 0.3331 0.0000 0.4507
Be1 0.1665 0.5000 0.7156
H1 0.0205 0.5000 0.9045
H2 0.0961 0.2887 0.5178
H3 0.2400 0.2799 0.9045
H4 0.3068 0.5000 0.5178
```

Entry 4:
Computed X-ray powder pattern
Compound: BaHfBeN3
Radiation: Cu Kα (λ = 1.5418 Å)
Structure: a crystal structure in Alexandria, relaxed with PBE

The 6 most intense peaks (10° ≤ 2θ ≤ 80°), in order of rising 2θ:
d = 7.013 Å, 12.62°, I 60; d = 3.504 Å, 25.42°, I 46; d = 3.032 Å, 29.46°, I 60; d = 2.991 Å, 29.87°, I 100; d = 2.456 Å, 36.59°, I 80; d = 2.409 Å, 37.33°, I 63

```
data_BaHfBeN3
_chemical_formula_sum 'Ba2 Hf2 Be2 N6'
_symmetry_space_group_name_H-M 'P 1 21/m 1'
_symmetry_Int_Tables_number 11
_cell_length_a 7.4210
_cell_length_b 3.3072
_cell_length_c 7.4575
_cell_angle_alpha 90.00
_cell_angle_beta 109.20
_cell_angle_gamma 90.00
loop_
_symmetry_equiv_pos_as_xyz
'x,y,z'
'-x,-y,-z'
'-x,y+1/2,-z'
'x,-y+1/2,z'
loop_
_atom_site_label
_atom_site_fract_x
_atom_site_fract_y
_atom_site_fract_z
Ba1 0.2440 0.2500 0.2048
Hf1 0.1593 0.2500 0.6673
Be1 0.3989 0.7500 0.9238
N1 0.1529 0.7500 0.4692
N2 0.1526 0.7500 0.8626
N3 0.4583 0.2500 0.8439
```

Entry 5:
Computed X-ray powder pattern
Compound: Ba3Be2InO6
Radiation: Cu Kα (λ = 1.5418 Å)
Structure: a crystal structure in Alexandria, relaxed with PBE

The 6 most intense peaks (10° ≤ 2θ ≤ 80°), in order of rising 2θ:
d = 4.084 Å, 21.76°, I 54; d = 2.921 Å, 30.61°, I 100; d = 2.856 Å, 31.32°, I 86; d = 2.341 Å, 38.46°, I 34; d = 2.042 Å, 44.36°, I 51; d = 1.661 Å, 55.30°, I 36

```
data_Ba3Be2InO6
_chemical_formula_sum 'Ba3 Be2 In1 O6'
_symmetry_space_group_name_H-M 'P -3 m 1'
_symmetry_Int_Tables_number 164
_symmetry_space_group_name_Hall '-P 3 2"'
_cell_length_a 5.7122
_cell_length_b 5.7122
_cell_length_c 7.2368
_cell_angle_alpha 90.00
_cell_angle_beta 90.00
_cell_angle_gamma 120.00
loop_
_atom_site_label
_atom_site_fract_x
_atom_site_fract_y
_atom_site_fract_z
Ba1 0.0000 0.0000 0.0000
Ba2 0.3333 0.6667 0.6819
Be1 0.3333 0.6667 0.2814
In1 0.0000 0.0000 0.5000
O1 0.1760 0.3519 0.3067
```

Entry 6:
Computed X-ray powder pattern
Compound: Ba2ZrBeIn
Radiation: Cu Kα (λ = 1.5418 Å)
Structure: a crystal structure in Alexandria, relaxed with PBE

The 6 most intense peaks (10° ≤ 2θ ≤ 80°), in order of rising 2θ:
d = 3.185 Å, 28.01°, I 100; d = 3.131 Å, 28.51°, I 51; d = 2.214 Å, 40.76°, I 19; d = 1.850 Å, 49.27°, I 22; d = 1.818 Å, 50.18°, I 39; d = 1.592 Å, 57.91°, I 13

```
data_Ba2ZrBeIn
_chemical_formula_sum 'Ba2 Zr1 Be1 In1'
_symmetry_space_group_name_H-M 'P 4/m m m'
_symmetry_Int_Tables_number 123
_symmetry_space_group_name_Hall '-P 4 2'
_cell_length_a 6.2620
_cell_length_b 6.2620
_cell_length_c 4.5847
_cell_angle_alpha 90.00
_cell_angle_beta 90.00
_cell_angle_gamma 90.00
loop_
_atom_site_label
_atom_site_fract_x
_atom_site_fract_y
_atom_site_fract_z
Ba1 0.0000 0.5000 0.0000
Zr1 0.0000 0.0000 0.5000
Be1 0.5000 0.5000 0.0000
In1 0.5000 0.5000 0.5000
```

Entry 7:
Computed X-ray powder pattern
Compound: BaBe2Ir
Radiation: Cu Kα (λ = 1.5418 Å)
Structure: a crystal structure in Alexandria, relaxed with PBE

The 6 most intense peaks (10° ≤ 2θ ≤ 80°), in order of rising 2θ:
d = 3.390 Å, 26.29°, I 100; d = 2.885 Å, 30.99°, I 30; d = 2.697 Å, 33.22°, I 32; d = 2.455 Å, 36.61°, I 39; d = 1.993 Å, 45.52°, I 24; d = 1.646 Å, 55.86°, I 24

```
data_BaBe2Ir
_chemical_formula_sum 'Ba2 Be4 Ir2'
_symmetry_space_group_name_H-M 'C 1 m 1'
_symmetry_Int_Tables_number 8
_cell_length_a 6.8936
_cell_length_b 4.0040
_cell_length_c 6.2332
_cell_angle_alpha 90.00
_cell_angle_beta 112.21
_cell_angle_gamma 90.00
loop_
_symmetry_equiv_pos_as_xyz
'x,y,z'
'x,-y,z'
'x+1/2,y+1/2,z'
'x+1/2,-y+1/2,z'
loop_
_atom_site_label
_atom_site_fract_x
_atom_site_fract_y
_atom_site_fract_z
Ba1 0.0000 0.0000 0.0000
Be1 0.0293 0.5000 0.5162
Be2 0.3481 0.5000 0.4738
Ir1 0.2123 0.0000 0.5636
```

Entry 8:
Computed X-ray powder pattern
Compound: Ba2BeIrO6
Radiation: Cu Kα (λ = 1.5418 Å)
Structure: a crystal structure in Alexandria, relaxed with PBE

The 6 most intense peaks (10° ≤ 2θ ≤ 80°), in order of rising 2θ:
d = 4.093 Å, 21.72°, I 41; d = 3.241 Å, 27.52°, I 26; d = 2.998 Å, 29.81°, I 93; d = 2.800 Å, 31.96°, I 100; d = 2.046 Å, 44.26°, I 35; d = 1.652 Å, 55.63°, I 32

```
data_Ba2BeIrO6
_chemical_formula_sum 'Ba12 Be6 Ir6 O36'
_symmetry_space_group_name_H-M 'R -3 m'
_symmetry_Int_Tables_number 166
_symmetry_space_group_name_Hall '-R 3 2"'
_cell_length_a 5.6007
_cell_length_b 5.6007
_cell_length_c 30.5025
_cell_angle_alpha 90.00
_cell_angle_beta 90.00
_cell_angle_gamma 120.00
loop_
_atom_site_label
_atom_site_fract_x
_atom_site_fract_y
_atom_site_fract_z
Ba1 0.0000 0.0000 0.1267
Ba2 0.0000 0.0000 0.2733
Be1 0.0000 0.0000 0.3734
Ir1 0.0000 0.0000 0.0000
Ir2 0.0000 0.0000 0.5000
O1 0.0084 0.5042 0.2956
O2 0.0101 0.5051 0.1306
```

Entry 9:
Computed X-ray powder pattern
Compound: BaLa2BeO5
Radiation: Cu Kα (λ = 1.5418 Å)
Structure: a crystal structure in Alexandria, relaxed with PBE

The 6 most intense peaks (10° ≤ 2θ ≤ 80°), in order of rising 2θ:
d = 3.257 Å, 27.39°, I 40; d = 3.146 Å, 28.37°, I 38; d = 3.124 Å, 28.57°, I 35; d = 3.025 Å, 29.53°, I 27; d = 2.999 Å, 29.79°, I 100; d = 2.986 Å, 29.93°, I 42

```
data_BaLa2BeO5
_chemical_formula_sum 'Ba4 La8 Be4 O20'
_symmetry_space_group_name_H-M 'P 1 21/c 1'
_symmetry_Int_Tables_number 14
_cell_length_a 7.5232
_cell_length_b 6.8891
_cell_length_c 10.0003
_cell_angle_alpha 90.00
_cell_angle_beta 90.77
_cell_angle_gamma 90.00
loop_
_symmetry_equiv_pos_as_xyz
'x,y,z'
'-x,-y,-z'
'-x,y+1/2,-z+1/2'
'x,-y+1/2,z+1/2'
loop_
_atom_site_label
_atom_site_fract_x
_atom_site_fract_y
_atom_site_fract_z
Ba1 0.0192 0.0820 0.3276
La1 0.2550 0.5879 0.4793
La2 0.4782 0.0823 0.3240
Be1 0.2602 0.1935 0.5971
O1 0.0695 0.1935 0.0625
O2 0.2765 0.1320 0.7658
O3 0.2783 0.5135 0.0105
O4 0.2833 0.6644 0.7136
O5 0.4399 0.1794 0.0655
```

Entry 10:
Computed X-ray powder pattern
Compound: Ba2LiBeP2
Radiation: Cu Kα (λ = 1.5418 Å)
Structure: a crystal structure in Alexandria, relaxed with PBE

The 6 most intense peaks (10° ≤ 2θ ≤ 80°), in order of rising 2θ:
d = 3.729 Å, 23.86°, I 85; d = 3.100 Å, 28.80°, I 40; d = 3.027 Å, 29.51°, I 39; d = 2.798 Å, 31.99°, I 100; d = 2.166 Å, 41.71°, I 33; d = 1.688 Å, 54.35°, I 24

```
data_Ba2LiBeP2
_chemical_formula_sum 'Ba8 Li4 Be4 P8'
_symmetry_space_group_name_H-M 'I b a m'
_symmetry_Int_Tables_number 72
_symmetry_space_group_name_Hall '-I 2 2c'
_cell_length_a 6.1999
_cell_length_b 14.6628
_cell_length_c 6.0533
_cell_angle_alpha 90.00
_cell_angle_beta 90.00
_cell_angle_gamma 90.00
loop_
_atom_site_label
_atom_site_fract_x
_atom_site_fract_y
_atom_site_fract_z
Ba1 0.2477 0.1636 0.0000
Li1 0.0000 0.0000 0.2500
Be1 0.0000 0.5000 0.2500
P1 0.2175 0.4185 0.0000
```

Entry 11:
Computed X-ray powder pattern
Compound: BaMgBe4
Radiation: Cu Kα (λ = 1.5418 Å)
Structure: a crystal structure in Alexandria, relaxed with PBE

The 6 most intense peaks (10° ≤ 2θ ≤ 80°), in order of rising 2θ:
d = 4.225 Å, 21.03°, I 100; d = 3.659 Å, 24.32°, I 43; d = 2.587 Å, 34.67°, I 73; d = 2.207 Å, 40.90°, I 75; d = 1.679 Å, 54.67°, I 25; d = 1.494 Å, 62.14°, I 26

```
data_BaMgBe4
_chemical_formula_sum 'Ba4 Mg4 Be16'
_symmetry_space_group_name_H-M 'F -4 3 m'
_symmetry_Int_Tables_number 216
_symmetry_space_group_name_Hall 'F -4 2 3'
_cell_length_a 7.3183
_cell_length_b 7.3183
_cell_length_c 7.3183
_cell_angle_alpha 90.00
_cell_angle_beta 90.00
_cell_angle_gamma 90.00
loop_
_atom_site_label
_atom_site_fract_x
_atom_site_fract_y
_atom_site_fract_z
Ba1 0.0000 0.0000 0.0000
Mg1 0.2500 0.2500 0.2500
Be1 0.1144 0.1144 0.6144
```

Entry 12:
Computed X-ray powder pattern
Compound: BaMg2Be
Radiation: Cu Kα (λ = 1.5418 Å)
Structure: a crystal structure in Alexandria, relaxed with PBE

The 6 most intense peaks (10° ≤ 2θ ≤ 80°), in order of rising 2θ:
d = 4.528 Å, 19.61°, I 57; d = 3.814 Å, 23.32°, I 69; d = 3.715 Å, 23.95°, I 80; d = 2.935 Å, 30.46°, I 63; d = 2.917 Å, 30.65°, I 100; d = 2.463 Å, 36.48°, I 58

```
data_BaMg2Be
_chemical_formula_sum 'Ba2 Mg4 Be2'
_symmetry_space_group_name_H-M 'A m m 2'
_symmetry_Int_Tables_number 38
_cell_length_a 4.5280
_cell_length_b 3.9893
_cell_length_c 13.0006
_cell_angle_alpha 90.00
_cell_angle_beta 90.00
_cell_angle_gamma 90.00
loop_
_symmetry_equiv_pos_as_xyz
'x,y,z'
'-x,-y,z'
'-x,y,z'
'x,-y,z'
'x,y+1/2,z+1/2'
'-x,-y+1/2,z+1/2'
'-x,y+1/2,z+1/2'
'x,-y+1/2,z+1/2'
loop_
_atom_site_label
_atom_site_fract_x
_atom_site_fract_y
_atom_site_fract_z
Ba1 0.0000 0.0000 0.0000
Mg1 0.0000 0.0000 0.7248
Mg2 0.5000 0.0000 0.2719
Be1 0.5000 0.0000 0.6317
```

Entry 13:
Computed X-ray powder pattern
Compound: BaNdBeN2
Radiation: Cu Kα (λ = 1.5418 Å)
Structure: a crystal structure in Alexandria, relaxed with PBE

The 6 most intense peaks (10° ≤ 2θ ≤ 80°), in order of rising 2θ:
d = 3.899 Å, 22.81°, I 100; d = 3.537 Å, 25.18°, I 31; d = 2.620 Å, 34.23°, I 80; d = 2.212 Å, 40.79°, I 24; d = 2.139 Å, 42.25°, I 24; d = 1.707 Å, 53.69°, I 29

```
data_BaNdBeN2
_chemical_formula_sum 'Ba2 Nd2 Be2 N4'
_symmetry_space_group_name_H-M 'P c c m'
_symmetry_Int_Tables_number 49
_cell_length_a 5.3707
_cell_length_b 5.6691
_cell_length_c 7.0746
_cell_angle_alpha 90.00
_cell_angle_beta 90.00
_cell_angle_gamma 90.00
loop_
_symmetry_equiv_pos_as_xyz
'x,y,z'
'-x,-y,-z'
'-x,-y,z'
'x,y,-z'
'x,-y,-z+1/2'
'-x,y,z+1/2'
'-x,y,-z+1/2'
'x,-y,z+1/2'
loop_
_atom_site_label
_atom_site_fract_x
_atom_site_fract_y
_atom_site_fract_z
Ba1 0.0000 0.0000 0.2500
Nd1 0.5000 0.5000 0.2500
Be1 0.0000 0.5000 0.0000
N1 0.2323 0.3399 0.0000
```